Entry 1:
The following is a calculated powder XRD pattern of SrCaOs2N4. It was derived from a crystal structure in Alexandria, relaxed with PBE, using copper Kα.
Peak positions follow from Bragg's law for the DFT cell and can differ from measured ones.

Most intense lines, 2θ = 10–90°, by intensity:
h k l, 2theta, I/Imax
1 1 2, 32.84, 100
3 1 2, 58.56, 27
1 1 0, 23.02, 20
2 2 0, 47.03, 16
0 0 2, 23.13, 15
2 0 4, 58.72, 11
3 3 2, 78.25, 11
2 2 2, 53.02, 11
2 2 4, 68.90, 10
0 0 4, 47.28, 8

Atomic structure:
Lattice parameters (Å, degrees): 5.4650 5.4650 7.6897 90.00 90.00 90.00
Space group I4/mmm (No. 139)
Unique sites:
1 Sr 0.0000 0.0000 0.0000 x2
2 Ca 0.0000 0.0000 0.5000 x2
3 Os 0.0000 0.5000 0.2500 x4
4 N 0.2500 0.2500 0.2500 x8


Entry 2:
The following is a calculated powder XRD pattern of CaTb2OsN4. It was derived from a crystal structure in Alexandria, relaxed with PBE, using copper Kα.
Peak positions follow from Bragg's law for the DFT cell and can differ from measured ones.

Most intense lines, 2θ = 10–90°, by intensity:
h k l, 2theta, I/Imax
1 3 2, 37.84, 100
0 2 1, 16.74, 88
1 1 2, 31.03, 88
0 4 0, 30.05, 56
0 0 4, 30.67, 43
0 2 5, 41.60, 36
0 4 4, 43.48, 32
1 1 3, 35.59, 32
1 7 2, 63.03, 27
1 5 3, 52.30, 22

Atomic structure:
Lattice parameters (Å, degrees): 3.4533 11.8933 11.6589 90.00 90.00 90.00
Space group Cmcm (No. 63)
Unique sites:
1 Ca 0.0000 0.1286 0.2500 x4
2 Tb 0.0000 0.3684 0.0341 x8
3 Os 0.0000 0.1416 0.7500 x4
4 N 0.0000 0.0000 0.0000 x4
5 N 0.0000 0.2582 0.6271 x8
6 N 0.0000 0.4329 0.2500 x4